No. 1
For Tm12Ni5Hg, a structure optimized by DFT (GGA-PBE) gives the computed powder X-ray diffraction pattern in this record (Cu Kα (weighted mean of Kα1 and Kα2)).
Peak positions follow from Bragg's law for the DFT cell and can differ from measured ones.

Top 6 peaks for 2θ = 10–90°, sorted by position:
2theta, Rel. int.
30.20, 30
30.61, 34
32.97, 100
35.22, 60
35.66, 62
61.49, 31

Cell and atoms:
```
data_Tm12Ni5Hg
_cell_length_a 9.2268
_cell_length_b 9.3204
_cell_length_c 9.7079
_cell_angle_alpha 90.00
_cell_angle_beta 90.00
_cell_angle_gamma 90.00
_symmetry_space_group_name_H-M 'I m m m'
_symmetry_Int_Tables_number 71
_symmetry_space_group_name_Hall '-I 2 2'
loop_
_atom_site_label
_atom_site_fract_x
_atom_site_fract_y
_atom_site_fract_z
Tm1 0.0000 0.1895 0.2249
Tm2 0.1950 0.5000 0.1757
Tm3 0.2168 0.3196 0.5000
Ni1 0.0000 0.0000 0.0000
Ni2 0.0000 0.3552 0.0000
Ni3 0.0000 0.5000 0.3781
Hg1 0.0000 0.0000 0.5000
```

***

No. 2
For SmDyZrN3, a structure optimized by DFT (GGA-PBE) gives the computed powder X-ray diffraction pattern in this record (Cu Kα (weighted mean of Kα1 and Kα2)).
Peak positions follow from Bragg's law for the DFT cell and can differ from measured ones.

Top 6 peaks for 2θ = 10–90°, sorted by position:
2theta, Rel. int.
30.54, 64
31.04, 29
33.24, 100
35.12, 92
53.81, 19
55.79, 20

Cell and atoms:
```
data_SmDyZrN3
_cell_length_a 5.8113
_cell_length_b 3.4074
_cell_length_c 8.9579
_cell_angle_alpha 90.00
_cell_angle_beta 101.25
_cell_angle_gamma 90.00
_symmetry_space_group_name_H-M 'P 1 21/m 1'
_symmetry_Int_Tables_number 11
_symmetry_space_group_name_Hall '-P 2yb'
loop_
_atom_site_label
_atom_site_fract_x
_atom_site_fract_y
_atom_site_fract_z
Sm1 0.1618 0.2500 0.2011
Dy1 0.3494 0.2500 0.8596
Zr1 0.2648 0.7500 0.5415
N1 0.0443 0.2500 0.6478
N2 0.2501 0.7500 0.0057
N3 0.4663 0.7500 0.3571
```

***

No. 3
For Ac4Zn5Ge6, a structure optimized by DFT (GGA-PBE) gives the computed powder X-ray diffraction pattern in this record (Cu Kα (weighted mean of Kα1 and Kα2)).
Peak positions follow from Bragg's law for the DFT cell and can differ from measured ones.

Top 6 peaks for 2θ = 10–90°, sorted by position:
2theta, Rel. int.
29.71, 70
30.10, 58
30.60, 47
34.32, 100
40.06, 68
49.03, 41

Cell and atoms:
```
data_Ac4Zn5Ge6
_cell_length_a 4.5020
_cell_length_b 19.7443
_cell_length_c 16.5103
_cell_angle_alpha 90.00
_cell_angle_beta 90.00
_cell_angle_gamma 90.00
_symmetry_space_group_name_H-M 'C m c 21'
_symmetry_Int_Tables_number 36
_symmetry_space_group_name_Hall 'C 2c -2'
loop_
_atom_site_label
_atom_site_fract_x
_atom_site_fract_y
_atom_site_fract_z
Ac1 0.0000 0.0201 0.0000
Ac2 0.0000 0.0307 0.2581
Ac3 0.0000 0.1719 0.8018
Ac4 0.0000 0.1783 0.4469
Zn1 0.0000 0.1517 0.1264
Zn2 0.0000 0.2949 0.1263
Zn3 0.0000 0.3467 0.7696
Zn4 0.0000 0.3517 0.4820
Zn5 0.0000 0.4307 0.1754
Ge1 0.0000 0.1147 0.6199
Ge2 0.0000 0.2149 0.9928
Ge3 0.0000 0.2194 0.2583
Ge4 0.0000 0.4267 0.6285
Ge5 0.0000 0.4330 0.8973
Ge6 0.0000 0.4402 0.3547
```

***

No. 4
For CeGa3Tc3, a structure optimized by DFT (GGA-PBE) gives the computed powder X-ray diffraction pattern in this record (Cu Kα (weighted mean of Kα1 and Kα2)).
Peak positions follow from Bragg's law for the DFT cell and can differ from measured ones.

Top 6 peaks for 2θ = 10–90°, sorted by position:
2theta, Rel. int.
26.23, 43
32.27, 100
46.29, 18
50.24, 57
53.98, 25
88.76, 17

Cell and atoms:
```
data_CeGa3Tc3
_cell_length_a 6.7945
_cell_length_b 6.7945
_cell_length_c 6.7945
_cell_angle_alpha 90.00
_cell_angle_beta 90.00
_cell_angle_gamma 90.00
_symmetry_space_group_name_H-M 'P m -3 n'
_symmetry_Int_Tables_number 223
_symmetry_space_group_name_Hall '-P 4n 2 3'
loop_
_atom_site_label
_atom_site_fract_x
_atom_site_fract_y
_atom_site_fract_z
Ce1 0.0000 0.0000 0.0000
Ga1 0.0000 0.2500 0.5000
Tc1 0.0000 0.5000 0.2500
```

***

No. 5
For Np3ScPt12, a structure optimized by DFT (GGA-PBE) gives the computed powder X-ray diffraction pattern in this record (Cu Kα (weighted mean of Kα1 and Kα2)).
Peak positions follow from Bragg's law for the DFT cell and can differ from measured ones.

Top 6 peaks for 2θ = 10–90°, sorted by position:
2theta, Rel. int.
37.83, 100
43.70, 16
44.10, 33
63.83, 21
76.37, 12
76.93, 26

Cell and atoms:
```
data_Np3ScPt12
_cell_length_a 4.1071
_cell_length_b 4.1071
_cell_length_c 16.5700
_cell_angle_alpha 90.00
_cell_angle_beta 90.00
_cell_angle_gamma 90.00
_symmetry_space_group_name_H-M 'P 4/m m m'
_symmetry_Int_Tables_number 123
_symmetry_space_group_name_Hall '-P 4 2'
loop_
_atom_site_label
_atom_site_fract_x
_atom_site_fract_y
_atom_site_fract_z
Np1 0.0000 0.0000 0.0000
Np2 0.0000 0.0000 0.2554
Sc1 0.0000 0.0000 0.5000
Pt1 0.0000 0.5000 0.1277
Pt2 0.0000 0.5000 0.3810
Pt3 0.5000 0.5000 0.0000
Pt4 0.5000 0.5000 0.2545
Pt5 0.5000 0.5000 0.5000
```

***

No. 6
For Ba3Zn3Pd, a structure optimized by DFT (GGA-PBE) gives the computed powder X-ray diffraction pattern in this record (Cu Kα (weighted mean of Kα1 and Kα2)).
Peak positions follow from Bragg's law for the DFT cell and can differ from measured ones.

Top 6 peaks for 2θ = 10–90°, sorted by position:
2theta, Rel. int.
28.35, 65
28.93, 68
29.54, 87
33.67, 46
34.87, 100
39.55, 66

Cell and atoms:
```
data_Ba3Zn3Pd
_cell_length_a 12.1574
_cell_length_b 4.5568
_cell_length_c 16.7875
_cell_angle_alpha 90.00
_cell_angle_beta 107.93
_cell_angle_gamma 90.00
_symmetry_space_group_name_H-M 'C 1 2/m 1'
_symmetry_Int_Tables_number 12
_symmetry_space_group_name_Hall '-C 2y'
loop_
_atom_site_label
_atom_site_fract_x
_atom_site_fract_y
_atom_site_fract_z
Ba1 0.0216 0.0000 0.3931
Ba2 0.1058 0.0000 0.9202
Ba3 0.2473 0.0000 0.2411
Zn1 0.0484 0.5000 0.2411
Zn2 0.0972 0.5000 0.0808
Zn3 0.1862 0.5000 0.5377
Pd1 0.2250 0.5000 0.3871
```